# 1
Structure and computed PXRD pattern of Cr46B3C9 (a PBE-relaxed structure; λ = 1.5418 Å (Cu Kα)).
Kinematic intensities with the Lorentz-polarization factor, no thermal factor.

Peak list (10 most intense, 2θ = 10–80°, most intense first)
- 2.039 Å, intensity 100, hkl 3 3 0
- 2.038 Å, intensity 69, hkl 0 0 6
- 2.164 Å, intensity 43, hkl 1 0 -5
- 1.874 Å, intensity 36, hkl 2 2 -4
- 2.044 Å, intensity 33, hkl 1 3 -2
- 2.033 Å, intensity 30, hkl 3 2 5
- 1.788 Å, intensity 27, hkl 4 2 0
- 2.365 Å, intensity 26, hkl 3 2 3
- 2.372 Å, intensity 25, hkl 1 -1 4
- 2.159 Å, intensity 22, hkl 1 3 4

Structure:
Lattice parameters (Å, degrees): 7.4811 7.4907 12.9493 73.52 73.38 60.14
Space group P1 (No. 1)
Inequivalent atoms, fractional coordinates:
Cr (0.0000, 0.0000, 0.0000) (multiplicity 1)
Cr (0.0001, 0.6634, 0.3383) (multiplicity 1)
Cr (0.0078, 0.6610, 0.9977) (multiplicity 1)
Cr (0.0231, 0.0199, 0.5995) (multiplicity 1)
Cr (0.1412, 0.1419, 0.2399) (multiplicity 1)
Cr (0.1608, 0.5080, 0.4968) (multiplicity 1)
Cr (0.1616, 0.1613, 0.8393) (multiplicity 1)
Cr (0.1643, 0.4994, 0.8374) (multiplicity 1)
Cr (0.1641, 0.8315, 0.1692) (multiplicity 1)
Cr (0.1686, 0.4946, 0.1687) (multiplicity 1)
Cr (0.2089, 0.2073, 0.0438) (multiplicity 1)
Cr (0.2612, 0.7818, 0.3602) (multiplicity 1)
Cr (0.2632, 0.2638, 0.3586) (multiplicity 1)
Cr (0.2854, 0.7598, 0.8599) (multiplicity 1)
Cr (0.3253, 0.3240, 0.6622) (multiplicity 1)
Cr (0.3326, 0.6666, 0.6698) (multiplicity 1)
Cr (0.3351, 0.9831, 0.6719) (multiplicity 1)
Cr (0.3848, 0.8985, 0.4804) (multiplicity 1)
Cr (0.4001, 0.8825, 0.9781) (multiplicity 1)
Cr (0.4040, 0.4052, 0.9777) (multiplicity 1)
Cr (0.4606, 0.4560, 0.2946) (multiplicity 1)
Cr (0.4795, 0.8317, 0.1690) (multiplicity 1)
Cr (0.4882, 0.1797, 0.1666) (multiplicity 1)
Cr (0.5001, 0.1641, 0.8368) (multiplicity 1)
Cr (0.5033, 0.5002, 0.4992) (multiplicity 1)
Cr (0.5112, 0.1582, 0.4967) (multiplicity 1)
Cr (0.5211, 0.5216, 0.0980) (multiplicity 1)
Cr (0.6416, 0.6407, 0.7419) (multiplicity 1)
Cr (0.6584, 0.0097, 0.9959) (multiplicity 1)
Cr (0.6647, 0.6535, 0.3418) (multiplicity 1)
Cr (0.6678, 0.0020, 0.3401) (multiplicity 1)
Cr (0.6686, 0.3312, 0.6695) (multiplicity 1)
Cr (0.6731, 0.9905, 0.6690) (multiplicity 1)
Cr (0.7100, 0.7063, 0.5450) (multiplicity 1)
Cr (0.7601, 0.2856, 0.8598) (multiplicity 1)
Cr (0.7621, 0.7616, 0.8582) (multiplicity 1)
Cr (0.7894, 0.2577, 0.3605) (multiplicity 1)
Cr (0.8049, 0.8321, 0.1690) (multiplicity 1)
Cr (0.8317, 0.1690, 0.1693) (multiplicity 1)
Cr (0.8340, 0.4835, 0.1714) (multiplicity 1)
Cr (0.8828, 0.4004, 0.9788) (multiplicity 1)
Cr (0.9036, 0.3800, 0.4794) (multiplicity 1)
Cr (0.9074, 0.9030, 0.4791) (multiplicity 1)
Cr (0.9578, 0.9572, 0.7951) (multiplicity 1)
Cr (0.9847, 0.3335, 0.6719) (multiplicity 1)
Cr (0.9922, 0.6711, 0.6692) (multiplicity 1)
B (0.1986, 0.1954, 0.5342) (multiplicity 1)
B (0.4265, 0.9674, 0.3055) (multiplicity 1)
B (0.6972, 0.6957, 0.0326) (multiplicity 1)
C (0.1962, 0.7473, 0.5314) (multiplicity 1)
C (0.2497, 0.6935, 0.0305) (multiplicity 1)
C (0.4714, 0.4705, 0.8081) (multiplicity 1)
C (0.4719, 0.9161, 0.8085) (multiplicity 1)
C (0.6950, 0.2494, 0.0300) (multiplicity 1)
C (0.7513, 0.1925, 0.5312) (multiplicity 1)
C (0.9165, 0.4711, 0.8089) (multiplicity 1)
C (0.9743, 0.9700, 0.3082) (multiplicity 1)
C (0.9748, 0.4138, 0.3085) (multiplicity 1)

# 2
Structure and computed PXRD pattern of Dy2B4C (a PBE-relaxed structure; λ = 1.5418 Å (Cu Kα)).
Kinematic intensities with the Lorentz-polarization factor, no thermal factor.

Peak list (10 most intense, 2θ = 10–80°, most intense first)
- 2.316 Å, intensity 100, hkl 1 1 2
- 2.930 Å, intensity 73, hkl 1 1 0
- 3.781 Å, intensity 56, hkl 0 0 2
- 3.284 Å, intensity 56, hkl 0 2 0
- 2.479 Å, intensity 55, hkl 0 2 2
- 1.640 Å, intensity 37, hkl 0 4 0
- 1.820 Å, intensity 23, hkl 1 3 0
- 1.638 Å, intensity 22, hkl 2 0 0
- 1.588 Å, intensity 21, hkl 1 1 4
- 1.366 Å, intensity 17, hkl 2 2 2

Structure:
Lattice parameters (Å, degrees): 3.2735 6.5685 7.5613 90.00 90.00 90.00
Space group Immm (No. 71)
Inequivalent atoms, fractional coordinates:
Dy (0.0000, 0.0000, 0.2348) (multiplicity 4)
B (0.0000, 0.2727, 0.5000) (multiplicity 4)
B (0.0000, 0.3651, 0.0000) (multiplicity 4)
C (0.0000, 0.5000, 0.5000) (multiplicity 2)

# 3
Structure and computed PXRD pattern of DyB2C (a PBE-relaxed structure; λ = 1.5418 Å (Cu Kα)).
Kinematic intensities with the Lorentz-polarization factor, no thermal factor.

Peak list (10 most intense, 2θ = 10–80°, most intense first)
- 2.358 Å, intensity 100, hkl 2 1 2
- 2.514 Å, intensity 82, hkl 2 0 2
- 3.039 Å, intensity 78, hkl 2 1 0
- 3.398 Å, intensity 72, hkl 2 0 0
- 3.738 Å, intensity 62, hkl 0 0 2
- 1.508 Å, intensity 43, hkl 4 1 2
- 1.648 Å, intensity 37, hkl 4 1 0
- 1.236 Å, intensity 28, hkl 4 1 4
- 2.021 Å, intensity 24, hkl 2 2 2
- 1.592 Å, intensity 24, hkl 2 1 4

Structure:
Lattice parameters (Å, degrees): 6.7956 6.7956 7.4759 90.00 90.00 90.00
Space group P4_2/mbc (No. 135)
Inequivalent atoms, fractional coordinates:
Dy (0.1909, 0.3091, 0.2500) (multiplicity 8)
B (0.0345, 0.8482, 0.0000) (multiplicity 8)
B (0.0947, 0.5969, 0.0000) (multiplicity 8)
C (0.0406, 0.8225, 0.5000) (multiplicity 8)

# 4
Structure and computed PXRD pattern of DyBC (a PBE-relaxed structure; λ = 1.5418 Å (Cu Kα)).
Kinematic intensities with the Lorentz-polarization factor, no thermal factor.

Peak list (10 most intense, 2θ = 10–80°, most intense first)
- 2.917 Å, intensity 100, hkl 1 0 2
- 3.016 Å, intensity 92, hkl 0 1 1
- 2.451 Å, intensity 81, hkl 2 1 0
- 3.082 Å, intensity 72, hkl 2 0 1
- 2.772 Å, intensity 66, hkl 1 1 1
- 1.755 Å, intensity 58, hkl 1 1 3
- 1.655 Å, intensity 47, hkl 3 1 2
- 2.289 Å, intensity 39, hkl 2 1 1
- 2.219 Å, intensity 30, hkl 1 1 2
- 4.737 Å, intensity 27, hkl 1 0 1

Structure:
Lattice parameters (Å, degrees): 7.0302 3.4183 6.4117 90.00 90.00 90.00
Space group Pnma (No. 62)
Inequivalent atoms, fractional coordinates:
Dy (0.1702, 0.2500, 0.1556) (multiplicity 4)
B (0.0237, 0.2500, 0.5728) (multiplicity 4)
C (0.0877, 0.2500, 0.7926) (multiplicity 4)

# 5
Structure and computed PXRD pattern of DyB2Ru2C (a PBE-relaxed structure; λ = 1.5418 Å (Cu Kα)).
Kinematic intensities with the Lorentz-polarization factor, no thermal factor.

Peak list (10 most intense, 2θ = 10–80°, most intense first)
- 2.362 Å, intensity 100, hkl 0 2 1
- 2.732 Å, intensity 70, hkl 0 0 2
- 1.853 Å, intensity 52, hkl 2 2 -1
- 2.373 Å, intensity 50, hkl 2 0 0
- 2.355 Å, intensity 50, hkl 2 0 -2
- 3.518 Å, intensity 38, hkl 1 1 0
- 3.503 Å, intensity 38, hkl 1 1 -1
- 2.607 Å, intensity 25, hkl 1 1 1
- 1.539 Å, intensity 24, hkl 2 2 1
- 2.589 Å, intensity 24, hkl 1 1 -2

Structure:
Lattice parameters (Å, degrees): 5.2454 5.2389 6.0378 90.00 115.18 90.00
Space group C2/m (No. 12)
Inequivalent atoms, fractional coordinates:
Dy (0.0000, 0.0000, 0.0000) (multiplicity 2)
B (0.1410, 0.5000, 0.2731) (multiplicity 4)
Ru (0.0000, 0.2505, 0.5000) (multiplicity 4)
C (0.0000, 0.5000, 0.0000) (multiplicity 2)

# 6
Structure and computed PXRD pattern of Er4LuNi10B10C5 (a PBE-relaxed structure; λ = 1.5418 Å (Cu Kα)).
Kinematic intensities with the Lorentz-polarization factor, no thermal factor.

Peak list (10 most intense, 2θ = 10–80°, most intense first)
- 2.242 Å, intensity 100, hkl 5 1 0
- 2.232 Å, intensity 99, hkl 1 1 4
- 3.312 Å, intensity 96, hkl 2 0 3
- 2.624 Å, intensity 73, hkl 4 0 -4
- 2.470 Å, intensity 48, hkl 3 1 -3
- 3.337 Å, intensity 34, hkl 4 0 1
- 1.424 Å, intensity 31, hkl 3 1 -8
- 1.754 Å, intensity 26, hkl 6 0 4
- 1.743 Å, intensity 25, hkl 0 2 0
- 1.432 Å, intensity 25, hkl 9 1 -4

Structure:
Lattice parameters (Å, degrees): 14.9318 3.4860 12.5732 90.00 101.25 90.00
Space group C2/m (No. 12)
Inequivalent atoms, fractional coordinates:
Er (0.1004, 0.0000, 0.0999) (multiplicity 4)
Er (0.1989, 0.5000, 0.6994) (multiplicity 4)
Lu (0.0000, 0.5000, 0.5000) (multiplicity 2)
Ni (0.0012, 0.5000, 0.2504) (multiplicity 4)
Ni (0.1000, 0.0000, 0.3502) (multiplicity 4)
Ni (0.0998, 0.0000, 0.8489) (multiplicity 4)
Ni (0.1991, 0.5000, 0.9503) (multiplicity 4)
Ni (0.2007, 0.5000, 0.4495) (multiplicity 4)
B (0.0425, 0.0000, 0.6838) (multiplicity 4)
B (0.0565, 0.5000, 0.9148) (multiplicity 4)
B (0.1441, 0.5000, 0.2847) (multiplicity 4)
B (0.1565, 0.0000, 0.5147) (multiplicity 4)
B (0.2424, 0.0000, 0.8850) (multiplicity 4)
C (0.0000, 0.5000, 0.0000) (multiplicity 2)
C (0.0980, 0.0000, 0.5977) (multiplicity 4)
C (0.2010, 0.5000, 0.2000) (multiplicity 4)

# 7
Structure and computed PXRD pattern of Er2Re2B2C (a PBE-relaxed structure; λ = 1.5418 Å (Cu Kα)).
Kinematic intensities with the Lorentz-polarization factor, no thermal factor.

Peak list (10 most intense, 2θ = 10–80°, most intense first)
- 2.500 Å, intensity 100, hkl 1 1 1
- 2.316 Å, intensity 96, hkl 3 1 -2
- 2.586 Å, intensity 63, hkl 4 0 -1
- 3.074 Å, intensity 32, hkl 1 1 -1
- 2.199 Å, intensity 24, hkl 2 0 -3
- 1.398 Å, intensity 23, hkl 7 1 -3
- 2.679 Å, intensity 23, hkl 0 0 2
- 1.724 Å, intensity 22, hkl 0 2 0
- 1.434 Å, intensity 21, hkl 4 2 -1
- 5.239 Å, intensity 20, hkl 2 0 -1

Structure:
Lattice parameters (Å, degrees): 10.7358 3.4477 6.7917 90.00 127.90 90.00
Space group C2/m (No. 12)
Inequivalent atoms, fractional coordinates:
Er (0.0741, 0.0000, 0.3267) (multiplicity 4)
Re (0.2113, 0.5000, 0.8242) (multiplicity 4)
B (0.1152, 0.5000, 0.0623) (multiplicity 4)
C (0.0000, 0.5000, 0.5000) (multiplicity 2)

# 8
Structure and computed PXRD pattern of Er2B2Ru2C (a PBE-relaxed structure; λ = 1.5418 Å (Cu Kα)).
Kinematic intensities with the Lorentz-polarization factor, no thermal factor.

Peak list (10 most intense, 2θ = 10–80°, most intense first)
- 2.346 Å, intensity 100, hkl 1 1 -2
- 2.557 Å, intensity 94, hkl 3 1 -1
- 2.628 Å, intensity 58, hkl 2 0 1
- 3.356 Å, intensity 49, hkl 1 1 0
- 2.600 Å, intensity 35, hkl 4 0 -2
- 1.497 Å, intensity 28, hkl 2 2 1
- 2.117 Å, intensity 28, hkl 2 0 -3
- 3.276 Å, intensity 26, hkl 2 0 -2
- 1.823 Å, intensity 26, hkl 0 2 0
- 3.185 Å, intensity 24, hkl 1 1 -1

Structure:
Lattice parameters (Å, degrees): 10.7833 3.6452 6.5529 90.00 127.19 90.00
Space group C2/m (No. 12)
Inequivalent atoms, fractional coordinates:
Er (0.0633, 0.0000, 0.3178) (multiplicity 4)
B (0.1771, 0.5000, 0.7371) (multiplicity 4)
Ru (0.2077, 0.5000, 0.1063) (multiplicity 4)
C (0.0000, 0.5000, 0.0000) (multiplicity 2)